Diffraction record for Li4Mn5Cr2O12. The XRD peak list is calculated, not measured: it uses a cell relaxed with PBE+U and Cu Ka.
Lines closer than 0.1° are merged.

Cell and atoms:
```
data_Li4Mn5Cr2O12
_cell_length_a 5.1082
_cell_length_b 9.0869
_cell_length_c 10.1348
_cell_angle_alpha 90.00
_cell_angle_beta 100.52
_cell_angle_gamma 90.00
_space_group_name_H-M_alt 'P 1 21 1'
_space_group_IT_number 4
loop_
_space_group_symop_operation_xyz
'x,y,z'
'-x,y+1/2,-z'
loop_
_atom_site_label
_atom_site_type_symbol
_atom_site_fract_x
_atom_site_fract_y
_atom_site_fract_z
_atom_site_occupancy
Li1 Li 0.0045 0.0000 0.2368 1
Li2 Li 0.0083 0.8468 0.7685 1
Li3 Li 0.2606 0.0009 0.9970 1
Li4 Li 0.4962 0.8300 0.2386 1
Mn1 Mn 0.0071 0.1536 0.7613 1
Mn2 Mn 0.2484 0.3445 0.0018 1
Mn3 Mn 0.2495 0.8294 0.4975 1
Mn4 Mn 0.2526 0.4943 0.5039 1
Mn5 Mn 0.4986 0.1698 0.2397 1
Cr1 Cr 0.2515 0.1607 0.5029 1
Cr2 Cr 0.2508 0.6710 0.0033 1
O1 O 0.1075 0.8300 0.1151 1
O2 O 0.1079 0.3123 0.6166 1
O3 O 0.1077 0.9889 0.6055 1
O4 O 0.1154 0.6463 0.6156 1
O5 O 0.1172 0.1903 0.1155 1
O6 O 0.1200 0.5032 0.1088 1
O7 O 0.3582 0.5040 0.8880 1
O8 O 0.3756 0.1920 0.8910 1
O9 O 0.3775 0.6804 0.3865 1
O10 O 0.3787 0.3284 0.3986 1
O11 O 0.3920 0.0109 0.3820 1
O12 O 0.3920 0.8262 0.8911 1
```

Main lines, low angle first (2θ from 15° to 90°):
2θ/deg, intensity
17.80, 52
19.54, 20
20.74, 16
23.39, 31
36.61, 20
42.14, 100
43.20, 46
61.01, 13
61.25, 37
62.59, 25